1.
Diffraction record for KTlCu2S2. The X-ray diffraction stick pattern is theoretical, not measured: it uses DFT lattice parameters and positions (GGA-PBE) and Cu Kα.

Principal peaks in the range 2θ = 10–90°, in order of rising 2θ:
h k l	2θ/deg	I_rel
1 1 0	21.82	37.4
1 1 -1	22.09	33.7
1 1 -2	26.42	100.0
2 0 -2	26.93	39.7
1 0 2	27.04	41.1
1 1 2	32.37	23.1
1 0 -4	37.58	30.8
0 2 2	40.84	34.0
3 1 -2	41.91	22.9
2 2 0	44.48	37.2

Structural model:
```
data_KTlCu2S2
_space_group_name_H-M_alt 'P 1 21/m 1'
_space_group_IT_number 11
_cell_length_a 7.2646
_cell_length_b 5.0671
_cell_length_c 9.5741
_cell_angle_alpha 90.00
_cell_angle_beta 109.46
_cell_angle_gamma 90.00
loop_
_space_group_symop_operation_xyz
'x,y,z'
'-x,-y,-z'
'-x,y+1/2,-z'
'x,-y+1/2,z'
loop_
_atom_site_label
_atom_site_type_symbol
_atom_site_fract_x
_atom_site_fract_y
_atom_site_fract_z
K1 K 0.2033 0.2500 0.4336
Tl1 Tl 0.2135 0.2500 0.9377
Cu1 Cu 0.4921 0.0003 0.2370
S1 S 0.2437 0.7500 0.2165
S2 S 0.2528 0.7500 0.7121
```


2.
Diffraction record for NaAc2WN4. The X-ray diffraction stick pattern is theoretical, not measured: it uses DFT lattice parameters and positions (GGA-PBE) and Cu Kα.

Principal peaks in the range 2θ = 10–90°, in order of rising 2θ:
h k l	2θ/deg	I_rel
1 0 1	17.81	16.4
1 1 0	20.59	14.6
1 1 2	29.28	100.0
1 0 3	34.48	7.0
2 2 0	41.89	20.4
3 1 0	47.12	8.1
2 0 4	51.93	44.6
4 0 0	60.74	13.1
3 3 2	68.84	18.8
3 1 6	83.95	22.7

Structural model:
```
data_NaAc2WN4
_space_group_name_H-M_alt 'I -4 2 m'
_space_group_IT_number 121
_space_group_name_Hall 'I -4 2'
_cell_length_a 6.0998
_cell_length_b 6.0998
_cell_length_c 8.6256
_cell_angle_alpha 90.00
_cell_angle_beta 90.00
_cell_angle_gamma 90.00
loop_
_atom_site_label
_atom_site_type_symbol
_atom_site_fract_x
_atom_site_fract_y
_atom_site_fract_z
Na1 Na 0.0000 0.0000 0.0000
Ac1 Ac 0.0000 0.5000 0.2500
W1 W 0.0000 0.0000 0.5000
N1 N 0.1935 0.1935 0.3918
```


3.
Diffraction record for K2ZrCl5. The X-ray diffraction stick pattern is theoretical, not measured: it uses DFT lattice parameters and positions (GGA-PBE) and Cu Kα.

Principal peaks in the range 2θ = 10–90°, in order of rising 2θ:
h k l	2θ/deg	I_rel
0 0 1	13.42	50.9
1 1 0	14.86	100.0
2 0 -1	17.03	44.4
1 1 1	23.20	45.5
3 1 -1	27.63	36.2
2 2 -1	28.45	27.8
2 2 0	29.97	29.5
2 2 -2	33.10	91.2
0 4 0	46.19	31.1
0 2 3	47.39	26.1

Structural model:
```
data_K2ZrCl5
_space_group_name_H-M_alt 'C 1 m 1'
_space_group_IT_number 8
_cell_length_a 10.6412
_cell_length_b 7.8646
_cell_length_c 7.6801
_cell_angle_alpha 90.00
_cell_angle_beta 120.76
_cell_angle_gamma 90.00
loop_
_space_group_symop_operation_xyz
'x,y,z'
'x,-y,z'
'x+1/2,y+1/2,z'
'x+1/2,-y+1/2,z'
loop_
_atom_site_label
_atom_site_type_symbol
_atom_site_fract_x
_atom_site_fract_y
_atom_site_fract_z
K1 K 0.0000 0.0000 0.0000
K2 K 0.0093 0.5000 0.4570
Zr1 Zr 0.2530 0.0000 0.7530
Cl1 Cl 0.0216 0.0000 0.4330
Cl2 Cl 0.2844 0.2113 0.0224
Cl3 Cl 0.3364 0.2427 0.6206
```


4.
Diffraction record for Pm8Se4S3. The X-ray diffraction stick pattern is theoretical, not measured: it uses DFT lattice parameters and positions (GGA-PBE) and Cu Kα.

Principal peaks in the range 2θ = 10–90°, in order of rising 2θ:
h k l	2θ/deg	I_rel
2 2 0	26.47	21.5
2 2 -2	26.68	21.2
0 0 2	30.78	100.0
4 0 0	43.83	12.4
0 4 2	44.08	48.6
4 0 -4	44.38	12.0
4 4 0	54.50	12.8
4 4 -4	54.97	12.6
8 0 -4	64.12	11.6
8 4 -4	72.79	21.1

Structural model:
```
data_Pm8Se4S3
_space_group_name_H-M_alt 'C 1 2/m 1'
_space_group_IT_number 12
_cell_length_a 11.6131
_cell_length_b 11.6262
_cell_length_c 8.1652
_cell_angle_alpha 90.00
_cell_angle_beta 134.65
_cell_angle_gamma 90.00
loop_
_space_group_symop_operation_xyz
'x,y,z'
'-x,-y,-z'
'-x,y,-z'
'x,-y,z'
'x+1/2,y+1/2,z'
'-x+1/2,-y+1/2,-z'
'-x+1/2,y+1/2,-z'
'x+1/2,-y+1/2,z'
loop_
_atom_site_label
_atom_site_type_symbol
_atom_site_fract_x
_atom_site_fract_y
_atom_site_fract_z
Pm1 Pm 0.0000 0.2398 0.0000
Pm2 Pm 0.0000 0.2492 0.5000
Pm3 Pm 0.2406 0.0000 0.4829
Pm4 Pm 0.2410 0.0000 0.9972
Se1 Se 0.0000 0.5000 0.0000
Se2 Se 0.0000 0.5000 0.5000
Se3 Se 0.2500 0.2500 0.5000
S1 S 0.0000 0.0000 0.0000
S2 S 0.2500 0.2500 0.0000
```